Structure and simulated XRD peak list of NaCeCu2Cl8 (DFT lattice parameters and positions (GGA-PBE); Cu Kα).

Most intense lines, 10° ≤ 2θ ≤ 90°, sorted by position:
15.21 deg, intensity 969
17.06 deg, intensity 280
18.02 deg, intensity 1000
20.92 deg, intensity 567
27.19 deg, intensity 254
29.95 deg, intensity 274
32.58 deg, intensity 258
43.84 deg, intensity 278
45.60 deg, intensity 234
46.29 deg, intensity 430

Cell and atoms:
Unit cell a=6.6333 b=6.6641 c=8.2621 alpha=106.55 beta=90.90 gamma=97.93
Space group P-1 (No. 2)
Unique sites:
1 Na 0.0000 0.0000 0.0000 x1
2 Ce 0.0000 0.0000 0.5000 x1
3 Cu 0.4615 0.6260 0.1746 x2
4 Cl 0.1129 0.7770 0.6866 x2
5 Cl 0.1441 0.7618 0.2152 x2
6 Cl 0.3613 0.2507 0.5705 x2
7 Cl 0.3928 0.2751 0.0436 x2